The following is a calculated powder XRD pattern of Tb6HoPd3. It was derived from a cell relaxed with GGA-PBE, using Cu Ka.
Neutral-atom scattering factors, no anomalous dispersion.

Cell and atoms:
Cell: 11.4790 13.2276 7.2108 Å, 90.00 90.00 90.00°
Space group Cmc2_1 (No. 36)
Symmetry-distinct sites (fractional):
Tb 0.0000 0.0364 0.0000 x4
Tb 0.0000 0.2309 0.3629 x4
Tb 0.1690 0.4605 0.5118 x8
Tb 0.2268 0.1942 0.6668 x8
Ho 0.0000 0.3208 0.8821 x4
Pd 0.0000 0.4245 0.2168 x4
Pd 0.1872 0.0999 0.2984 x8

Most intense lines, 2θ = 15–90°, by angle:
2θ 29.25, rel. 40, (2 0 2); 2θ 29.72, rel. 69, (0 4 1); 2θ 30.94, rel. 54, (3 3 0); 2θ 31.17, rel. 37, (4 0 0); 2θ 32.30, rel. 62, (2 2 2); 2θ 33.40, rel. 51, (3 3 1); 2θ 33.66, rel. 85, (2 4 1); 2θ 34.86, rel. 100, (3 1 2); 2θ 39.91, rel. 40, (0 2 3); 2θ 57.10, rel. 41, (0 8 1)